No. 1
Structure and computed X-ray diffraction stick pattern of Ac4NiTe3 (a GGA-PBE-relaxed structure; Cu Kα, 1.54184 Å).

Main lines, low angle first (2θ from 10° to 90°):
d [Å]	intensity	(hkl)
3.332	55	0 4 0
3.290	100	2 0 1
2.427	17	4 0 0
2.341	78	2 4 1
2.237	19	0 0 2
1.962	18	4 4 0
1.857	21	0 4 2
1.486	18	2 8 1

Cell lengths 9.710, 13.329, 4.473 Å; angles 90.00, 90.00, 90.00 degrees
Space group Cmmm (No. 65)
One atom of each set of equivalent atoms:
Ac (0.000, 0.239, 0.000) x4
Ac (0.211, 0.000, 0.500) x4
Ni (0.000, 0.000, 0.000) x2
Te (0.000, 0.500, 0.000) x2
Te (0.250, 0.250, 0.500) x4



No. 2
Structure and computed X-ray diffraction stick pattern of CeTiSe (a GGA-PBE-relaxed structure; Cu Kα, 1.54184 Å).

Main lines, low angle first (2θ from 10° to 90°):
d [Å]	intensity	(hkl)
3.860	40	2 0 0
3.051	17	2 0 1
2.904	39	0 1 1
2.490	31	0 0 2
2.321	100	2 1 1
2.092	15	2 0 2
1.525	15	4 0 2
1.403	23	2 1 3

Cell lengths 7.720, 3.575, 4.980 Å; angles 90.00, 90.00, 90.00 degrees
Space group Pmma (No. 51)
One atom of each set of equivalent atoms:
Ce (0.250, 0.000, 0.000) x2
Ti (0.000, 0.000, 0.500) x2
Se (0.250, 0.500, 0.499) x2



No. 3
Structure and computed X-ray diffraction stick pattern of KLiBeF4 (a GGA-PBE-relaxed structure; Cu Kα, 1.54184 Å).

Main lines, low angle first (2θ from 10° to 90°):
d [Å]	intensity	(hkl)
3.474	60	1 1 0
3.173	39	1 0 -2
2.754	48	0 2 0
2.445	100	1 0 2
2.322	89	1 2 -1
2.315	96	1 0 -3
2.135	71	2 1 -1
1.770	50	0 2 3

Cell lengths 4.639, 5.513, 7.179 Å; angles 90.00, 105.27, 90.00 degrees
Space group P2_1/m (No. 11)
One atom of each set of equivalent atoms:
K (0.228, 0.250, 0.126) x2
Li (0.148, 0.750, 0.514) x2
Be (0.368, 0.250, 0.702) x2
F (0.154, 0.023, 0.696) x4
F (0.370, 0.750, 0.114) x2
F (0.465, 0.250, 0.512) x2



No. 4
Structure and computed X-ray diffraction stick pattern of PuInHgSb (a GGA-PBE-relaxed structure; Cu Kα, 1.54184 Å).

Main lines, low angle first (2θ from 10° to 90°):
d [Å]	intensity	(hkl)
2.689	100	1 1 1
2.543	21	0 0 2
2.260	15	0 2 0
2.220	17	2 0 0
1.689	13	0 2 2
1.495	17	1 1 3
1.374	13	1 3 1
1.356	12	3 1 1

Cell lengths 4.441, 4.519, 5.087 Å; angles 90.00, 90.00, 90.00 degrees
Space group Pmmm (No. 47)
One atom of each set of equivalent atoms:
Pu (0.000, 0.000, 0.000) x1
In (0.000, 0.500, 0.500) x1
Hg (0.500, 0.000, 0.500) x1
Sb (0.500, 0.500, 0.000) x1